Entry 1:
Simulated XRD peak list
Compound: Sc2CuAg2
Radiation: Cu Kα X-rays
Structure: a PBE-relaxed structure
Peak positions follow from Bragg's law for the DFT cell and can differ from measured ones.

Largest 10 diffraction maxima, sorted by position, 2θ from 5° to 70°:
2θ = 12.61°, intensity 435
2θ = 25.38°, intensity 313
2θ = 30.60°, intensity 118
2θ = 36.31°, intensity 1000
2θ = 40.16°, intensity 171
2θ = 42.82°, intensity 279
2θ = 48.70°, intensity 283
2θ = 52.17°, intensity 216
2θ = 55.70°, intensity 136
2θ = 63.69°, intensity 130

Cell and atoms:
```
Sc2CuAg2
1.0
-1.8696 1.8696 7.0198
1.8696 -1.8696 7.0198
1.8696 1.8696 -7.0198
Sc Cu Ag
2 1 2
direct
0.0949 0.0949 0.0000
0.9051 0.9051 0.0000
0.5000 0.5000 0.0000
0.2500 0.7500 0.5000
0.7500 0.2500 0.5000
```

Entry 2:
Simulated XRD peak list
Compound: ZnCuSiAgTe4
Radiation: Cu Kα X-rays
Structure: a PBE-relaxed structure
Peak positions follow from Bragg's law for the DFT cell and can differ from measured ones.

Largest 10 diffraction maxima, sorted by position, 2θ from 5° to 70°:
2θ = 25.11°, intensity 1000
2θ = 26.16°, intensity 26
2θ = 29.08°, intensity 67
2θ = 33.43°, intensity 42
2θ = 41.59°, intensity 703
2θ = 49.20°, intensity 451
2θ = 60.28°, intensity 110
2θ = 66.34°, intensity 172
2θ = 66.83°, intensity 22
2θ = 68.30°, intensity 20

Cell and atoms:
```
ZnCuSiAgTe4
1.0
-3.0712 3.0712 6.1404
3.0712 -3.0712 6.1404
3.0712 3.0712 -6.1404
Zn Cu Si Ag Te
1 1 1 1 4
direct
0.0000 0.0000 0.0000
0.7500 0.2500 0.5000
0.5000 0.5000 0.0000
0.2500 0.7500 0.5000
0.1233 0.6036 0.9745
0.3964 0.3709 0.5197
0.6291 0.1488 0.0255
0.8512 0.8767 0.4803
```

Entry 3:
Simulated XRD peak list
Compound: SmCuAg
Radiation: Cu Kα X-rays
Structure: a PBE-relaxed structure
Peak positions follow from Bragg's law for the DFT cell and can differ from measured ones.

Largest 10 diffraction maxima, sorted by position, 2θ from 5° to 70°:
2θ = 31.44°, intensity 180
2θ = 32.25°, intensity 198
2θ = 33.44°, intensity 1000
2θ = 34.51°, intensity 503
2θ = 35.91°, intensity 221
2θ = 36.36°, intensity 159
2θ = 39.02°, intensity 491
2θ = 41.24°, intensity 201
2θ = 44.00°, intensity 324
2θ = 68.82°, intensity 162

Cell and atoms:
```
SmCuAg
1.0
5.0648 -2.0579 0.0000
5.0648 2.0579 0.0000
-4.1040 0.0000 6.0066
Sm Cu Ag
2 2 2
direct
0.0568 0.0568 0.3016
0.9432 0.9432 0.6984
0.3605 0.3605 0.3331
0.6395 0.6395 0.6669
0.3232 0.3232 0.9142
0.6768 0.6768 0.0858
```

Entry 4:
Simulated XRD peak list
Compound: Tb2CuAgSn2
Radiation: Cu Kα X-rays
Structure: a PBE-relaxed structure
Peak positions follow from Bragg's law for the DFT cell and can differ from measured ones.

Largest 10 diffraction maxima, sorted by position, 2θ from 5° to 70°:
2θ = 22.02°, intensity 66
2θ = 25.15°, intensity 109
2θ = 32.88°, intensity 1000
2θ = 38.63°, intensity 718
2θ = 43.06°, intensity 147
2θ = 51.62°, intensity 281
2θ = 64.41°, intensity 150
2θ = 66.29°, intensity 265
2θ = 67.57°, intensity 65
2θ = 69.91°, intensity 125

Cell and atoms:
```
Tb2CuAgSn2
1.0
4.6610 0.0000 0.0000
-2.3305 4.0365 0.0000
0.0000 0.0000 7.3804
Tb Cu Ag Sn
2 1 1 2
direct
0.0000 0.0000 0.0000
0.0000 0.0000 0.4907
0.6667 0.3333 0.1800
0.3333 0.6667 0.6829
0.3333 0.6667 0.2640
0.6667 0.3333 0.7777
```